(1)
Computed XRD peak list
Compound: Li2TlAsH
Radiation: λ = 1.5418 Å (Cu Kα)
Structure: a PBE-relaxed structure
Kinematic intensities with the Lorentz-polarization factor, no thermal factor.

Structure:
abc: 4.1900 4.1900 4.7156
angles: 90.00 90.00 90.00
Fractional coordinates of all 5 atoms:
Li  0.0000  0.5000  0.0000
Li  0.5000  0.0000  0.0000
Tl  0.0000  0.0000  0.5000
As  0.5000  0.5000  0.5000
H  0.0000  0.0000  0.0000

The 6 most intense peaks (5° ≤ 2θ ≤ 70°), most intense first:
2θ 18.82, I 100; 2θ 35.79, I 95; 2θ 30.16, I 66; 2θ 47.49, I 37; 2θ 49.40, I 34; 2θ 21.20, I 32



(2)
Computed XRD peak list
Compound: DyZrPd5
Radiation: λ = 1.5418 Å (Cu Kα)
Structure: a PBE-relaxed structure
Kinematic intensities with the Lorentz-polarization factor, no thermal factor.

Structure:
abc: 4.0402 4.0402 8.0531
angles: 90.00 90.00 90.00
Fractional coordinates of all 7 atoms:
Dy  0.0000  0.0000  0.0000
Zr  0.5000  0.5000  0.5000
Pd  0.0000  0.5000  0.2702
Pd  0.0000  0.5000  0.7298
Pd  0.5000  0.0000  0.2702
Pd  0.5000  0.0000  0.7298
Pd  0.5000  0.5000  0.0000

The 6 most intense peaks (5° ≤ 2θ ≤ 70°), most intense first:
2θ 38.64, I 100; 2θ 44.87, I 34; 2θ 65.45, I 19; 2θ 45.03, I 14; 2θ 33.28, I 13; 2θ 10.99, I 12



(3)
Computed XRD peak list
Compound: BrOF
Radiation: λ = 1.5418 Å (Cu Kα)
Structure: a PBE-relaxed structure
Kinematic intensities with the Lorentz-polarization factor, no thermal factor.

Structure:
abc: 5.6775 4.4123 9.8904
angles: 90.00 121.50 90.00
Fractional coordinates of all 12 atoms:
Br  0.2266  0.0122  0.2638
Br  0.2266  0.4878  0.7638
Br  0.7734  0.5122  0.2362
Br  0.7734  0.9878  0.7362
O  0.0682  0.1768  0.3582
O  0.0682  0.3232  0.8582
O  0.9318  0.6768  0.1418
O  0.9318  0.8232  0.6418
F  0.4570  0.6885  0.6385
F  0.4570  0.8115  0.1385
F  0.5430  0.1885  0.8615
F  0.5430  0.3115  0.3615

The 6 most intense peaks (5° ≤ 2θ ≤ 70°), most intense first:
2θ 21.07, I 100; 2θ 25.59, I 88; 2θ 32.75, I 74; 2θ 34.00, I 27; 2θ 52.55, I 26; 2θ 49.72, I 20



(4)
Computed XRD peak list
Compound: KSr2Se2O6
Radiation: λ = 1.5418 Å (Cu Kα)
Structure: a PBE-relaxed structure
Kinematic intensities with the Lorentz-polarization factor, no thermal factor.

Structure:
abc: 5.7955 6.4473 6.9670
angles: 96.88 105.00 110.73
Fractional coordinates of all 11 atoms:
K  0.0000  0.0000  0.0000
Sr  0.3211  0.6610  0.3332
Sr  0.6789  0.3390  0.6668
Se  0.4099  0.7434  0.8454
Se  0.5901  0.2566  0.1546
O  0.1099  0.6575  0.8875
O  0.3358  0.4960  0.6506
O  0.4369  0.9261  0.6727
O  0.5631  0.0739  0.3273
O  0.6642  0.5040  0.3494
O  0.8901  0.3425  0.1125

The 6 most intense peaks (5° ≤ 2θ ≤ 70°), most intense first:
2θ 27.95, I 100; 2θ 17.82, I 99; 2θ 17.30, I 85; 2θ 27.32, I 70; 2θ 28.36, I 69; 2θ 32.00, I 69



(5)
Computed XRD peak list
Compound: Dy3SbTe6
Radiation: λ = 1.5418 Å (Cu Kα)
Structure: a PBE-relaxed structure
Kinematic intensities with the Lorentz-polarization factor, no thermal factor.

Structure:
abc: 9.5760 9.5760 7.5367
angles: 90.00 90.00 103.13
Fractional coordinates of all 20 atoms:
Dy  0.0906  0.9094  0.5000
Dy  0.2193  0.4189  0.3861
Dy  0.4189  0.2193  0.8861
Dy  0.5811  0.7807  0.3861
Dy  0.7807  0.5811  0.8861
Dy  0.9094  0.0906  0.0000
Sb  0.3225  0.6775  0.8711
Sb  0.6775  0.3225  0.3711
Te  0.0616  0.5983  0.6623
Te  0.1301  0.2045  0.6990
Te  0.2045  0.1301  0.1990
Te  0.2652  0.7348  0.2499
Te  0.4017  0.9384  0.6623
Te  0.4956  0.5044  0.6209
Te  0.5044  0.4956  0.1209
Te  0.5983  0.0616  0.1623
Te  0.7348  0.2652  0.7499
Te  0.7955  0.8699  0.6990
Te  0.8699  0.7955  0.1990
Te  0.9384  0.4017  0.1623

The 6 most intense peaks (5° ≤ 2θ ≤ 70°), most intense first:
2θ 31.12, I 100; 2θ 22.42, I 77; 2θ 33.33, I 73; 2θ 37.58, I 68; 2θ 33.72, I 64; 2θ 30.52, I 45